This entry pairs a crystal structure of Na2VReO6 with its simulated XRD peak list. Radiation: Cu Ka. Structure: the PBE+U geometry in Alexandria.
Peak positions follow from Bragg's law for the DFT cell and can differ from measured ones.

Principal peaks in the range 10 to 90 degrees two-theta, by intensity:
hkl	two_theta	Rel. int.
2 0 0	33.03	100.0
1 1 0	23.19	96.5
1 0 0	16.36	49.5
1 0 1	28.48	27.4
2 2 0	47.47	26.7
3 1 1	59.04	25.7
3 1 0	53.47	25.0
2 1 1	44.19	17.6
2 2 2	69.26	15.3
2 1 0	37.11	14.0

abc: 5.417 5.417 3.843
angles: 90.00 90.00 90.00
Fractional positions:
Na1 0.000 0.500 0.000
Na2 0.500 0.000 0.000
V1 0.000 0.000 0.500
Re1 0.500 0.500 0.500
O1 0.000 0.000 0.000
O2 0.250 0.250 0.500
O3 0.250 0.750 0.500
O4 0.500 0.500 0.000
O5 0.750 0.250 0.500
O6 0.750 0.750 0.500